Record 1
This entry pairs a crystal structure of RbPtCl6 with its calculated X-ray diffraction stick pattern. Radiation: Cu Kα, 1.54184 Å. Structure: a crystal structure in Alexandria, relaxed with GGA-PBE.

Main lines, low angle first (15 to 90 degrees two-theta):
- 2θ = 18.39°, rel. 100
- 2θ = 18.78°, rel. 45
- 2θ = 22.97°, rel. 23
- 2θ = 23.08°, rel. 51
- 2θ = 23.88°, rel. 24
- 2θ = 34.98°, rel. 42
- 2θ = 35.20°, rel. 43
- 2θ = 35.56°, rel. 42
- 2θ = 37.27°, rel. 19
- 2θ = 50.98°, rel. 23

Structural model:
abc: 6.2175 6.2175 6.3200
angles: 100.71 100.71 98.95
Sites, in units of the cell vectors:
Rb: 0.0000 0.0000 0.0000
Pt: 0.5000 0.5000 0.5000
Cl: 0.2217 0.5687 0.2314
Cl: 0.2333 0.2333 0.5743
Cl: 0.4313 0.7783 0.7686
Cl: 0.5687 0.2217 0.2314
Cl: 0.7667 0.7667 0.4257
Cl: 0.7783 0.4313 0.7686

---

Record 2
This entry pairs a crystal structure of Rb2RePtCl6 with its calculated X-ray diffraction stick pattern. Radiation: Cu Kα, 1.54184 Å. Structure: a crystal structure in Alexandria, relaxed with GGA-PBE.

Main lines, low angle first (15 to 90 degrees two-theta):
- 2θ = 15.78°, rel. 52
- 2θ = 22.39°, rel. 68
- 2θ = 25.20°, rel. 100
- 2θ = 31.87°, rel. 65
- 2θ = 39.64°, rel. 19
- 2θ = 41.06°, rel. 51
- 2θ = 45.70°, rel. 21
- 2θ = 46.00°, rel. 21
- 2θ = 51.46°, rel. 18
- 2θ = 51.74°, rel. 32

Structural model:
abc: 7.2256 7.2256 7.2256
angles: 113.33 113.33 102.01
Sites, in units of the cell vectors:
Rb: 0.2500 0.7500 0.5000
Rb: 0.7500 0.2500 0.5000
Re: 0.0000 0.0000 0.0000
Pt: 0.5000 0.5000 0.0000
Cl: 0.2144 0.2144 0.4289
Cl: 0.2144 0.7856 0.0000
Cl: 0.2557 0.2557 0.0000
Cl: 0.7443 0.7443 0.0000
Cl: 0.7856 0.2144 0.0000
Cl: 0.7856 0.7856 0.5711

---

Record 3
This entry pairs a crystal structure of Rb2ScPtCl6 with its calculated X-ray diffraction stick pattern. Radiation: Cu Kα, 1.54184 Å. Structure: a crystal structure in Alexandria, relaxed with GGA-PBE.

Main lines, low angle first (15 to 90 degrees two-theta):
- 2θ = 16.08°, rel. 26
- 2θ = 22.82°, rel. 66
- 2θ = 25.40°, rel. 100
- 2θ = 27.41°, rel. 40
- 2θ = 32.50°, rel. 89
- 2θ = 39.64°, rel. 26
- 2θ = 41.69°, rel. 52
- 2θ = 46.62°, rel. 30
- 2θ = 52.16°, rel. 43
- 2θ = 62.81°, rel. 23

Structural model:
abc: 7.1444 7.1444 7.1444
angles: 113.89 113.89 100.95
Sites, in units of the cell vectors:
Rb: 0.2500 0.7500 0.5000
Rb: 0.7500 0.2500 0.5000
Sc: 0.0000 0.0000 0.0000
Pt: 0.5000 0.5000 0.0000
Cl: 0.2299 0.2299 0.4599
Cl: 0.2299 0.7701 0.0000
Cl: 0.2559 0.2559 0.0000
Cl: 0.7441 0.7441 0.0000
Cl: 0.7701 0.2299 0.0000
Cl: 0.7701 0.7701 0.5401

---

Record 4
This entry pairs a crystal structure of PtS3Cl with its calculated X-ray diffraction stick pattern. Radiation: Cu Kα, 1.54184 Å. Structure: a crystal structure in Alexandria, relaxed with GGA-PBE.

Main lines, low angle first (15 to 90 degrees two-theta):
- 2θ = 16.65°, rel. 47
- 2θ = 20.49°, rel. 100
- 2θ = 25.00°, rel. 49
- 2θ = 25.86°, rel. 48
- 2θ = 29.37°, rel. 43
- 2θ = 30.21°, rel. 45
- 2θ = 31.49°, rel. 52
- 2θ = 35.66°, rel. 43
- 2θ = 36.02°, rel. 45
- 2θ = 48.30°, rel. 31

Structural model:
abc: 3.5708 8.9486 9.0723
angles: 72.65 78.79 83.29
Sites, in units of the cell vectors:
Pt: 0.1915 0.1604 0.0569
Pt: 0.8085 0.8396 0.9431
S: 0.2293 0.8090 0.1246
S: 0.3907 0.8433 0.7724
S: 0.3916 0.0493 0.5943
S: 0.6084 0.9507 0.4057
S: 0.6093 0.1567 0.2276
S: 0.7707 0.1910 0.8754
Cl: 0.2500 0.5647 0.2284
Cl: 0.7500 0.4353 0.7716

---

Record 5
This entry pairs a crystal structure of PtSCl6 with its calculated X-ray diffraction stick pattern. Radiation: Cu Kα, 1.54184 Å. Structure: a crystal structure in Alexandria, relaxed with GGA-PBE.

Main lines, low angle first (15 to 90 degrees two-theta):
- 2θ = 20.17°, rel. 97
- 2θ = 21.91°, rel. 62
- 2θ = 22.16°, rel. 34
- 2θ = 23.57°, rel. 58
- 2θ = 24.52°, rel. 100
- 2θ = 27.63°, rel. 46
- 2θ = 34.45°, rel. 39
- 2θ = 39.13°, rel. 39
- 2θ = 40.99°, rel. 42
- 2θ = 49.99°, rel. 36

Structural model:
abc: 8.3981 8.3981 8.1922
angles: 112.38 112.38 63.24
Sites, in units of the cell vectors:
Pt: 0.2499 0.2499 0.0020
Pt: 0.7501 0.7501 0.9980
S: 0.2005 0.2353 0.4547
S: 0.7647 0.7995 0.5453
Cl: 0.1531 0.0318 0.7492
Cl: 0.2005 0.1036 0.1748
Cl: 0.2989 0.3732 0.8211
Cl: 0.3503 0.4574 0.2641
Cl: 0.5426 0.6497 0.7359
Cl: 0.5760 0.0741 0.0724
Cl: 0.6268 0.7011 0.1789
Cl: 0.6406 0.0720 0.5659
Cl: 0.8964 0.7995 0.8252
Cl: 0.9259 0.4240 0.9276
Cl: 0.9280 0.3594 0.4341
Cl: 0.9682 0.8469 0.2508

---

Record 6
This entry pairs a crystal structure of PtS2Cl5 with its calculated X-ray diffraction stick pattern. Radiation: Cu Kα, 1.54184 Å. Structure: a crystal structure in Alexandria, relaxed with GGA-PBE.

Main lines, low angle first (15 to 90 degrees two-theta):
- 2θ = 18.32°, rel. 100
- 2θ = 21.03°, rel. 44
- 2θ = 25.53°, rel. 46
- 2θ = 29.05°, rel. 55
- 2θ = 34.07°, rel. 28
- 2θ = 37.15°, rel. 46
- 2θ = 37.58°, rel. 36
- 2θ = 38.56°, rel. 31
- 2θ = 38.70°, rel. 24
- 2θ = 52.38°, rel. 24

Structural model:
abc: 7.5923 7.5923 7.0836
angles: 117.65 117.65 40.56
Sites, in units of the cell vectors:
Pt: 0.0000 0.0000 0.0000
S: 0.4837 0.5163 0.5000
S: 0.8316 0.1684 0.5000
Cl: 0.1343 0.1308 0.3658
Cl: 0.1344 0.1307 0.8979
Cl: 0.4989 0.5011 0.0000
Cl: 0.8693 0.8656 0.1021
Cl: 0.8692 0.8657 0.6342

---

Record 7
This entry pairs a crystal structure of PtSeCl3 with its calculated X-ray diffraction stick pattern. Radiation: Cu Kα, 1.54184 Å. Structure: a crystal structure in Alexandria, relaxed with GGA-PBE.

Main lines, low angle first (15 to 90 degrees two-theta):
- 2θ = 16.02°, rel. 100
- 2θ = 18.47°, rel. 24
- 2θ = 23.49°, rel. 31
- 2θ = 26.49°, rel. 31
- 2θ = 29.59°, rel. 37
- 2θ = 34.16°, rel. 56
- 2θ = 37.02°, rel. 33
- 2θ = 38.55°, rel. 27
- 2θ = 46.97°, rel. 28
- 2θ = 49.34°, rel. 24

Structural model:
abc: 7.9859 7.9859 12.2197
angles: 94.14 94.14 122.66
Sites, in units of the cell vectors:
Pt: 0.0145 0.8567 0.8797
Pt: 0.1433 0.9855 0.6203
Pt: 0.8567 0.0145 0.3797
Pt: 0.9855 0.1433 0.1203
Se: 0.2356 0.7365 0.6576
Se: 0.2635 0.7644 0.8424
Se: 0.7365 0.2356 0.1576
Se: 0.7644 0.2635 0.3424
Cl: 0.0163 0.8153 0.4399
Cl: 0.1591 0.2440 0.3028
Cl: 0.1847 0.9837 0.0601
Cl: 0.2164 0.4425 0.0638
Cl: 0.2440 0.1591 0.8028
Cl: 0.4425 0.2164 0.5638
Cl: 0.5575 0.7836 0.4362
Cl: 0.7560 0.8409 0.1972
Cl: 0.7836 0.5575 0.9362
Cl: 0.8153 0.0163 0.9399
Cl: 0.8409 0.7560 0.6972
Cl: 0.9837 0.1847 0.5601

---

Record 8
This entry pairs a crystal structure of SiPt2Cl with its calculated X-ray diffraction stick pattern. Radiation: Cu Kα, 1.54184 Å. Structure: a crystal structure in Alexandria, relaxed with GGA-PBE.

Main lines, low angle first (15 to 90 degrees two-theta):
- 2θ = 22.95°, rel. 45
- 2θ = 34.14°, rel. 65
- 2θ = 34.72°, rel. 13
- 2θ = 36.75°, rel. 100
- 2θ = 45.91°, rel. 41
- 2θ = 55.22°, rel. 14
- 2θ = 59.38°, rel. 27
- 2θ = 62.29°, rel. 13
- 2θ = 64.52°, rel. 17
- 2θ = 71.91°, rel. 14

Structural model:
abc: 7.9568 7.9568 7.9568
angles: 22.56 22.56 22.56
Sites, in units of the cell vectors:
Si: 0.0000 0.0000 0.0000
Pt: 0.2622 0.2622 0.2622
Pt: 0.7378 0.7378 0.7378
Cl: 0.5000 0.5000 0.5000